# SiPPt
Calculated powder diffraction line list, CuKα. Input: a structure optimized by DFT (PBE).
Neutral-atom scattering factors, no anomalous dispersion.

Largest 12 diffraction maxima, by intensity, 5 to 70 degrees two-theta:
- 23.20°, I = 100, hkl 1 1 -1
- 29.88°, I = 39, hkl 0 2 0
- 32.90°, I = 33, hkl 2 0 0
- 31.02°, I = 31, hkl 1 1 1
- 32.25°, I = 28, hkl 0 0 2
- 45.05°, I = 26, hkl 2 2 0
- 48.67°, I = 22, hkl 3 1 -1
- 49.22°, I = 20, hkl 1 3 -1
- 44.54°, I = 18, hkl 0 2 2
- 47.42°, I = 18, hkl 2 2 -2
- 53.77°, I = 17, hkl 1 3 1
- 47.72°, I = 16, hkl 1 1 -3

Cell and atoms:
abc: 5.9257 5.9794 6.0428
angles: 90.00 113.26 90.00
Space group P2_1 (No. 4)
One atom of each set of equivalent atoms:
Si: 0.1607 0.0000 0.1206
Si: 0.3342 0.4994 0.4411
P: 0.1616 0.7445 0.6232
P: 0.3322 0.2448 0.9415
Pt: 0.2635 0.1248 0.5417
Pt: 0.2726 0.6245 0.0390